The following is a theoretical powder XRD pattern of Tb3MgCu2. It was derived from a crystal structure in Alexandria, relaxed with PBE, using Cu Kα.
Kinematic intensities with the Lorentz-polarization factor, no thermal factor.

Peak list (10 most intense, 5 to 70 degrees two-theta, in order of falling intensity)
2θ/deg, I/Imax, (hkl)
34.76, 100, 1 0 3
36.29, 55, 1 1 0
64.31, 33, 2 1 3
25.44, 32, 1 0 0
7.72, 30, 0 0 1
40.70, 22, 1 0 4
52.27, 19, 2 0 0
23.29, 13, 0 0 3
68.75, 11, 1 1 7
43.57, 10, 1 1 3

Structure:
Cell: 3.5006 3.5006 11.4588 Å, 90.00 90.00 90.00°
Positions (direct):
Tb 0.0000 0.0000 0.0000
Tb 0.0000 0.0000 0.2992
Tb 0.0000 0.0000 0.7008
Mg 0.5000 0.5000 0.5000
Cu 0.5000 0.5000 0.1561
Cu 0.5000 0.5000 0.8439